Calculated PXRD pattern
Compound: Pr2HgO4
Radiation: Cu Ka
Structure: a DFT-relaxed cell (GGA-PBE, Alexandria)
No peak broadening, texture or thermal motion is included.

Peak list (10 most intense, 10° ≤ 2θ ≤ 80°, by angle)
| two_theta | d (Å) | Rel. int. | index |
| --- | --- | --- | --- |
| 24.56 | 3.624 | 44 | 1 1 -1 |
| 25.72 | 3.463 | 45 | 2 0 -3 |
| 27.49 | 3.245 | 50 | 1 1 1 |
| 29.44 | 3.034 | 100 | 4 0 0 |
| 29.97 | 2.982 | 51 | 0 0 3 |
| 31.11 | 2.875 | 91 | 3 1 -2 |
| 33.76 | 2.655 | 64 | 1 1 2 |
| 36.86 | 2.438 | 43 | 3 1 1 |
| 49.84 | 1.830 | 45 | 3 1 -5 |
| 51.51 | 1.774 | 39 | 7 1 -2 |

Atomic structure:
a b c (Å): 14.1028 3.8850 10.4034
angles (deg): 90.00 120.70 90.00
Space group C2/m (No. 12)
Unique sites:
Pr  0.1199  0.0000  0.4590 [4 per cell]
Pr  0.1585  0.5000  0.7983 [4 per cell]
Hg  0.1152  0.5000  0.1612 [4 per cell]
O  0.0369  0.5000  0.2779 [4 per cell]
O  0.0801  0.0000  0.6541 [4 per cell]
O  0.2043  0.5000  0.0590 [4 per cell]
O  0.2275  0.5000  0.6099 [4 per cell]



Calculated PXRD pattern
Compound: Mn2Rh3
Radiation: Cu Ka
Structure: a DFT-relaxed cell (GGA-PBE, Alexandria)
No peak broadening, texture or thermal motion is included.

Peak list (10 most intense, 10° ≤ 2θ ≤ 80°, by angle)
| two_theta | d (Å) | Rel. int. | index |
| --- | --- | --- | --- |
| 24.08 | 3.696 | 10 | 2 2 0 |
| 39.78 | 2.266 | 22 | 4 0 0 |
| 41.11 | 2.196 | 100 | 1 5 1 |
| 42.27 | 2.138 | 77 | 2 0 2 |
| 44.67 | 2.029 | 13 | 2 2 2 |
| 50.40 | 1.811 | 25 | 3 5 1 |
| 69.52 | 1.352 | 14 | 1 5 3 |
| 75.65 | 1.257 | 8 | 6 2 2 |
| 76.50 | 1.245 | 9 | 3 5 3 |
| 77.58 | 1.231 | 9 | 2 10 0 |

Atomic structure:
a b c (Å): 9.0604 12.7862 4.8543
angles (deg): 90.00 90.00 90.00
Space group Fdd2 (No. 43)
Unique sites:
Mn  0.0294  0.2005  0.0000 [16 per cell]
Rh  0.0000  0.0000  0.0572 [8 per cell]
Rh  0.0484  0.0997  0.5373 [16 per cell]



Calculated PXRD pattern
Compound: Pr2In3Au
Radiation: Cu Ka
Structure: a DFT-relaxed cell (GGA-PBE, Alexandria)
No peak broadening, texture or thermal motion is included.

Peak list (10 most intense, 10° ≤ 2θ ≤ 80°, by angle)
| two_theta | d (Å) | Rel. int. | index |
| --- | --- | --- | --- |
| 23.38 | 3.804 | 8 | 1 0 0 |
| 31.51 | 2.839 | 100 | 1 1 1 |
| 36.49 | 2.463 | 74 | 0 2 0 |
| 43.79 | 2.067 | 9 | 1 1 3 |
| 47.82 | 1.902 | 11 | 2 0 0 |
| 48.96 | 1.860 | 29 | 1 2 2 |
| 61.61 | 1.505 | 31 | 2 2 0 |
| 62.55 | 1.485 | 18 | 1 1 5 |
| 62.64 | 1.483 | 10 | 1 3 1 |
| 65.71 | 1.421 | 9 | 0 3 3 |

Atomic structure:
a b c (Å): 3.8042 4.9200 8.5402
angles (deg): 90.00 90.00 90.00
Space group Pmm2 (No. 25)
Unique sites:
Pr  0.0000  0.0000  0.0000 [1 per cell]
Pr  0.0000  0.5000  0.4811 [1 per cell]
In  0.5000  0.0000  0.6480 [1 per cell]
In  0.5000  0.5000  0.1622 [1 per cell]
In  0.5000  0.5000  0.8240 [1 per cell]
Au  0.5000  0.0000  0.3201 [1 per cell]



Calculated PXRD pattern
Compound: InCuGe
Radiation: Cu Ka
Structure: a DFT-relaxed cell (GGA-PBE, Alexandria)
No peak broadening, texture or thermal motion is included.

Peak list (10 most intense, 10° ≤ 2θ ≤ 80°, by angle)
| two_theta | d (Å) | Rel. int. | index |
| --- | --- | --- | --- |
| 31.83 | 2.811 | 64 | 1 0 -2 |
| 31.96 | 2.801 | 68 | 1 -1 1 |
| 33.55 | 2.671 | 76 | 1 0 1 |
| 33.79 | 2.653 | 77 | -1 1 2 |
| 36.69 | 2.449 | 82 | 1 1 -1 |
| 37.02 | 2.429 | 80 | 0 1 2 |
| 37.16 | 2.419 | 77 | 1 -2 0 |
| 38.98 | 2.310 | 48 | 0 2 0 |
| 43.02 | 2.103 | 100 | 1 0 -3 |
| 45.90 | 1.977 | 95 | -2 1 1 |

Atomic structure:
a b c (Å): 3.9549 5.0420 6.5675
angles (deg): 90.27 107.51 112.34
Space group P1 (No. 1)
Unique sites:
In  0.0000  0.0000  0.0000 [1 per cell]
In  0.3044  0.0510  0.5503 [1 per cell]
Cu  0.6841  0.4258  0.9446 [1 per cell]
Cu  0.7775  0.2473  0.3067 [1 per cell]
Ge  0.1058  0.5114  0.7031 [1 per cell]
Ge  0.4162  0.6087  0.2288 [1 per cell]



Calculated PXRD pattern
Compound: Sc2Ta3Ge4
Radiation: Cu Ka
Structure: a DFT-relaxed cell (GGA-PBE, Alexandria)
No peak broadening, texture or thermal motion is included.

Peak list (10 most intense, 10° ≤ 2θ ≤ 80°, by angle)
| two_theta | d (Å) | Rel. int. | index |
| --- | --- | --- | --- |
| 13.39 | 6.612 | 47 | 1 0 0 |
| 18.42 | 4.816 | 100 | 1 1 0 |
| 36.48 | 2.463 | 71 | 2 2 -1 |
| 36.82 | 2.441 | 67 | 1 2 -2 |
| 37.14 | 2.421 | 83 | 1 1 2 |
| 37.35 | 2.408 | 70 | 2 2 0 |
| 41.02 | 2.200 | 63 | 3 0 -2 |
| 41.54 | 2.174 | 76 | 1 1 -3 |
| 41.71 | 2.165 | 62 | 1 3 -1 |
| 43.16 | 2.096 | 57 | 3 1 -2 |

Atomic structure:
a b c (Å): 7.0231 7.0284 6.8593
angles (deg): 90.00 109.71 90.00
Space group P2_1/c (No. 14)
Unique sites:
Sc  0.1840  0.1708  0.0539 [4 per cell]
Ta  0.2535  0.6788  0.2444 [4 per cell]
Ta  0.5000  0.0000  0.5000 [2 per cell]
Ge  0.0812  0.5294  0.8489 [4 per cell]
Ge  0.4796  0.1334  0.8632 [4 per cell]



Calculated PXRD pattern
Compound: TcPd6Pt2
Radiation: Cu Ka
Structure: a DFT-relaxed cell (GGA-PBE, Alexandria)
No peak broadening, texture or thermal motion is included.

Peak list (10 most intense, 10° ≤ 2θ ≤ 80°, by angle)
| two_theta | d (Å) | Rel. int. | index |
| --- | --- | --- | --- |
| 12.64 | 7.003 | 19 | 0 0 3 |
| 37.50 | 2.398 | 46 | 1 0 0 |
| 38.56 | 2.335 | 59 | 0 0 9 |
| 39.73 | 2.269 | 34 | 1 0 3 |
| 41.39 | 2.182 | 51 | 1 0 4 |
| 43.45 | 2.083 | 100 | 1 0 5 |
| 45.86 | 1.979 | 12 | 1 0 6 |
| 54.89 | 1.673 | 26 | 1 0 9 |
| 67.67 | 1.385 | 32 | 1 1 0 |
| 74.60 | 1.272 | 28 | 1 0 14 |

Atomic structure:
a b c (Å): 2.7692 2.7692 21.0089
angles (deg): 90.00 90.00 120.00
Space group P-6m2 (No. 187)
Unique sites:
Tc  0.0000  0.0000  0.0000 [1 per cell]
Pd  0.0000  0.0000  0.2146 [2 per cell]
Pd  0.0000  0.0000  0.4385 [2 per cell]
Pd  0.3333  0.6667  0.1032 [2 per cell]
Pt  0.3333  0.6667  0.3267 [2 per cell]



Calculated PXRD pattern
Compound: Sr2YReN4
Radiation: Cu Ka
Structure: a DFT-relaxed cell (GGA-PBE, Alexandria)
No peak broadening, texture or thermal motion is included.

Peak list (10 most intense, 10° ≤ 2θ ≤ 80°, by angle)
| two_theta | d (Å) | Rel. int. | index |
| --- | --- | --- | --- |
| 26.62 | 3.349 | 49 | 2 1 0 |
| 29.99 | 2.979 | 70 | 0 2 1 |
| 31.01 | 2.884 | 100 | 2 1 1 |
| 31.55 | 2.835 | 45 | 0 0 2 |
| 41.74 | 2.164 | 23 | 2 1 2 |
| 45.56 | 1.991 | 32 | 2 3 0 |
| 47.69 | 1.907 | 16 | 4 0 0 |
| 55.85 | 1.646 | 21 | 2 1 3 |
| 56.47 | 1.629 | 30 | 2 3 2 |
| 57.37 | 1.606 | 23 | 4 2 1 |

Atomic structure:
a b c (Å): 7.6271 7.0036 5.6706
angles (deg): 90.00 90.00 90.00
Space group Pmn2_1 (No. 31)
Unique sites:
Sr  0.2458  0.1605  0.0000 [4 per cell]
Y  0.0000  0.6624  0.0165 [2 per cell]
Re  0.0000  0.3493  0.5421 [2 per cell]
N  0.0000  0.3700  0.8690 [2 per cell]
N  0.0000  0.5960  0.4159 [2 per cell]
N  0.2088  0.2192  0.4738 [4 per cell]



Calculated PXRD pattern
Compound: TlPt2
Radiation: Cu Ka
Structure: a DFT-relaxed cell (GGA-PBE, Alexandria)
No peak broadening, texture or thermal motion is included.

Peak list (10 most intense, 10° ≤ 2θ ≤ 80°, by angle)
| two_theta | d (Å) | Rel. int. | index |
| --- | --- | --- | --- |
| 20.64 | 4.303 | 13 | 0 0 1 |
| 23.21 | 3.832 | 23 | 1 0 0 |
| 31.26 | 2.862 | 22 | 1 0 1 |
| 33.06 | 2.710 | 8 | 1 1 0 |
| 39.29 | 2.293 | 100 | 1 1 1 |
| 41.99 | 2.151 | 21 | 0 0 2 |
| 47.45 | 1.916 | 29 | 2 0 0 |
| 65.20 | 1.431 | 23 | 2 0 2 |
| 69.37 | 1.355 | 10 | 2 2 0 |
| 74.91 | 1.268 | 16 | 1 1 3 |

Atomic structure:
a b c (Å): 3.8319 3.8319 4.3029
angles (deg): 90.00 90.00 90.00
Space group P4/mmm (No. 123)
Unique sites:
Tl  0.0000  0.0000  0.0000 [1 per cell]
Pt  0.0000  0.5000  0.5000 [2 per cell]



Q: What is the formula in the fourth record?
A: InCuGe